CaHfTiSnO6: theoretical XRD peak list (Cu Kα, 1.54184 Å), based on a PBE-relaxed structure.
Intensities are scaled so that the largest is 100.

a b c (Å): 8.0394 8.0394 8.0394
angles (deg): 90.00 90.00 90.00
Space group F-43m (No. 216)
One atom of each set of equivalent atoms:
Ca: 0.0000 0.0000 0.0000 (multiplicity 4)
Hf: 0.2500 0.2500 0.2500 (multiplicity 4)
Ti: 0.2500 0.2500 0.7500 (multiplicity 4)
Sn: 0.0000 0.0000 0.5000 (multiplicity 4)
O: 0.0063 0.2500 0.7500 (multiplicity 24)

Main lines, most intense first (2θ from 10° to 80°):
two_theta  d (Å)  I_rel  (hkl)
31.47  2.842  100  2 2 0
56.04  1.641  40  4 2 2
19.12  4.642  37  1 1 1
45.11  2.010  34  4 0 0
37.09  2.424  24  3 1 1
65.70  1.421  20  4 4 0
74.67  1.271  17  6 2 0
49.42  1.844  12  3 3 1